The following is a theoretical X-ray diffraction stick pattern of Na4ThMo4O16. It was derived from a structure optimized by DFT (GGA+U), using λ = 1.5418 Å (Cu Kα).
Peak positions follow from Bragg's law for the DFT cell and can differ from measured ones.

Atomic structure:
```
data_Na4ThMo4O16
_space_group_name_H-M_alt 'I 41/a'
_space_group_IT_number 88
_cell_length_a 11.6050
_cell_length_b 11.6050
_cell_length_c 12.0377
_cell_angle_alpha 90.00
_cell_angle_beta 90.00
_cell_angle_gamma 90.00
loop_
_space_group_symop_operation_xyz
'x,y,z'
'-x,-y,-z'
'-y+3/4,x+1/4,z+1/4'
'y+3/4,-x+1/4,-z+1/4'
'-x+1/2,-y,z+1/2'
'x+1/2,y,-z+1/2'
'y+3/4,-x+3/4,z+3/4'
'-y+3/4,x+3/4,-z+3/4'
'x+1/2,y+1/2,z+1/2'
'-x+1/2,-y+1/2,-z+1/2'
'-y+1/4,x+3/4,z+3/4'
'y+1/4,-x+3/4,-z+3/4'
'-x,-y+1/2,z'
'x,y+1/2,-z'
'y+1/4,-x+1/4,z+1/4'
'-y+1/4,x+1/4,-z+1/4'
loop_
_atom_site_label
_atom_site_type_symbol
_atom_site_fract_x
_atom_site_fract_y
_atom_site_fract_z
_atom_site_occupancy
Na1 Na 0.1201 0.0304 0.3439 1
Th1 Th 0.0000 0.2500 0.1250 1
Mo1 Mo 0.0902 0.0698 0.8668 1
O1 O 0.0414 0.4081 0.7967 1
O2 O 0.0602 0.3610 0.2862 1
O3 O 0.0876 0.4279 0.0627 1
O4 O 0.1752 0.4552 0.4796 1
```

Principal peaks in the range 10° ≤ 2θ ≤ 80°, in order of rising 2θ:
8.355 Å, rel. 100, (1 0 1)
4.766 Å, rel. 31, (1 2 1)
3.792 Å, rel. 17, (1 0 3)
3.683 Å, rel. 30, (3 0 1)
3.174 Å, rel. 13, (1 2 3)
3.133 Å, rel. 100, (1 3 2)
3.109 Å, rel. 17, (3 2 1)
3.009 Å, rel. 14, (0 0 4)
2.595 Å, rel. 16, (4 2 0)
1.965 Å, rel. 25, (4 2 4)
1.760 Å, rel. 15, (1 3 6)
1.583 Å, rel. 18, (7 1 2)